# Ho5NiBi2
Simulated XRD peak list, Cu Kα (weighted mean of Kα1 and Kα2). Input: a crystal structure in the Materials Project, relaxed with PBE.
Lines closer than 0.1° are merged.

Cell and atoms:
```
Ho5NiBi2
1.0
12.3240 0.0000 0.0000
0.0000 8.8765 0.0000
0.0000 0.0000 7.9988
Ho Ni Bi
20 4 8
direct
0.0018 0.2500 0.0467
0.0656 0.5404 0.3231
0.0656 0.9596 0.3231
0.1873 0.2500 0.6252
0.2038 0.7500 0.6591
0.2962 0.2500 0.1591
0.3127 0.7500 0.1252
0.4344 0.0404 0.8231
0.4344 0.4596 0.8231
0.4982 0.7500 0.5467
0.5018 0.2500 0.4533
0.5656 0.5404 0.1769
0.5656 0.9596 0.1769
0.6873 0.2500 0.8748
0.7038 0.7500 0.8409
0.7962 0.2500 0.3409
0.8127 0.7500 0.3748
0.9344 0.0404 0.6769
0.9344 0.4596 0.6769
0.9982 0.7500 0.9533
0.0082 0.2500 0.4277
0.4918 0.7500 0.9277
0.5082 0.2500 0.0723
0.9918 0.7500 0.5723
0.1743 0.0068 0.9338
0.1743 0.4932 0.9338
0.3257 0.5068 0.4338
0.3257 0.9932 0.4338
0.6743 0.0068 0.5662
0.6743 0.4932 0.5662
0.8257 0.5068 0.0662
0.8257 0.9932 0.0662
```

Top 12 peaks for 15 to 90 degrees two-theta, in order of rising 2θ:
- d = 3.284 Å, 27.16°, intensity 13
- d = 2.888 Å, 30.96°, intensity 96
- d = 2.875 Å, 31.11°, intensity 55
- d = 2.866 Å, 31.21°, intensity 15
- d = 2.821 Å, 31.72°, intensity 100
- d = 2.676 Å, 33.48°, intensity 48
- d = 2.606 Å, 34.41°, intensity 24
- d = 2.531 Å, 35.47°, intensity 20
- d = 2.447 Å, 36.73°, intensity 15
- d = 2.219 Å, 40.66°, intensity 36
- d = 2.081 Å, 43.50°, intensity 16
- d = 1.756 Å, 52.07°, intensity 20



# Ho5Ni2Bi
Simulated XRD peak list, Cu Kα (weighted mean of Kα1 and Kα2). Input: a crystal structure in the Materials Project, relaxed with PBE.
Lines closer than 0.1° are merged.

Cell and atoms:
```
Ho5Ni2Bi
1.0
-3.8300 3.8300 6.7458
3.8300 -3.8300 6.7458
3.8300 3.8300 -6.7458
Ho Ni Bi
10 4 2
direct
0.0000 0.0000 0.0000
0.0199 0.5199 0.8098
0.2101 0.0199 0.5000
0.2899 0.7899 0.8098
0.4801 0.2899 0.5000
0.5000 0.5000 0.0000
0.5199 0.7101 0.5000
0.7101 0.2101 0.1902
0.7899 0.9801 0.5000
0.9801 0.4801 0.1902
0.1318 0.3682 0.5000
0.3682 0.8682 0.2363
0.6318 0.1318 0.7637
0.8682 0.6318 0.5000
0.2500 0.2500 0.0000
0.7500 0.7500 0.0000
```

Top 12 peaks for 15 to 90 degrees two-theta, in order of rising 2θ:
- d = 3.320 Å, 26.85°, intensity 36
- d = 2.863 Å, 31.24°, intensity 57
- d = 2.725 Å, 32.87°, intensity 100
- d = 2.708 Å, 33.08°, intensity 20
- d = 2.531 Å, 35.46°, intensity 55
- d = 2.422 Å, 37.12°, intensity 88
- d = 2.120 Å, 42.65°, intensity 20
- d = 1.713 Å, 53.50°, intensity 15
- d = 1.665 Å, 55.15°, intensity 22
- d = 1.592 Å, 57.94°, intensity 31
- d = 1.384 Å, 67.70°, intensity 27
- d = 1.356 Å, 69.28°, intensity 16



# Ho2BiO2
Simulated XRD peak list, Cu Kα (weighted mean of Kα1 and Kα2). Input: a crystal structure in the Materials Project, relaxed with PBE.
Lines closer than 0.1° are merged.

Cell and atoms:
```
Ho2BiO2
1.0
-1.9342 1.9342 6.7657
1.9342 -1.9342 6.7657
1.9342 1.9342 -6.7657
Ho Bi O
2 1 2
direct
0.1690 0.1690 0.0000
0.8310 0.8310 0.0000
0.5000 0.5000 0.0000
0.2500 0.7500 0.5000
0.7500 0.2500 0.5000
```

Top 12 peaks for 15 to 90 degrees two-theta, in order of rising 2θ:
- d = 2.936 Å, 30.44°, intensity 100
- d = 2.735 Å, 32.74°, intensity 36
- d = 2.255 Å, 39.98°, intensity 11
- d = 1.934 Å, 46.98°, intensity 17
- d = 1.740 Å, 52.60°, intensity 24
- d = 1.615 Å, 57.02°, intensity 35
- d = 1.468 Å, 63.35°, intensity 11
- d = 1.401 Å, 66.75°, intensity 11
- d = 1.240 Å, 76.90°, intensity 7
- d = 1.223 Å, 78.13°, intensity 6
- d = 1.169 Å, 82.48°, intensity 6
- d = 1.135 Å, 85.58°, intensity 11



# HoBiO3
Simulated XRD peak list, Cu Kα (weighted mean of Kα1 and Kα2). Input: a crystal structure in the Materials Project, relaxed with PBE.
Lines closer than 0.1° are merged.

Cell and atoms:
```
HoBiO3
1.0
2.9988 1.7314 5.0609
-2.9988 1.7314 5.0609
0.0000 -3.4627 5.0609
Ho Bi O
2 2 6
direct
0.0000 0.0000 0.0000
0.5000 0.5000 0.5000
0.2138 0.2138 0.2138
0.7138 0.7138 0.7138
0.1453 0.3661 0.8126
0.3126 0.8661 0.6453
0.3661 0.8126 0.1453
0.6453 0.3126 0.8661
0.8126 0.1453 0.3661
0.8661 0.6453 0.3126
```

Top 12 peaks for 15 to 90 degrees two-theta, in order of rising 2θ:
- d = 4.287 Å, 20.72°, intensity 21
- d = 3.065 Å, 29.14°, intensity 91
- d = 2.999 Å, 29.79°, intensity 100
- d = 2.143 Å, 42.16°, intensity 39
- d = 1.934 Å, 46.98°, intensity 31
- d = 1.744 Å, 52.48°, intensity 41
- d = 1.731 Å, 52.88°, intensity 26
- d = 1.499 Å, 61.88°, intensity 14
- d = 1.457 Å, 63.88°, intensity 12
- d = 1.347 Å, 69.83°, intensity 16
- d = 1.201 Å, 79.87°, intensity 12
- d = 1.133 Å, 85.71°, intensity 12



# HoBiO3
Simulated XRD peak list, Cu Kα (weighted mean of Kα1 and Kα2). Input: a crystal structure in the Materials Project, relaxed with PBE.
Lines closer than 0.1° are merged.

Cell and atoms:
```
HoBiO3
1.0
6.2086 0.0000 0.0000
0.0000 8.4354 0.0000
0.0000 0.0000 5.7905
Ho Bi O
4 4 12
direct
0.0000 0.0000 0.0000
0.0000 0.5000 0.0000
0.5000 0.0000 0.5000
0.5000 0.5000 0.5000
0.0356 0.2500 0.4880
0.4644 0.7500 0.9880
0.5356 0.2500 0.0120
0.9644 0.7500 0.5120
0.0507 0.7500 0.1431
0.1813 0.5670 0.6695
0.1813 0.9330 0.6695
0.3187 0.0670 0.1695
0.3187 0.4330 0.1695
0.4493 0.2500 0.6431
0.5507 0.7500 0.3569
0.6813 0.5670 0.8305
0.6813 0.9330 0.8305
0.8187 0.0670 0.3305
0.8187 0.4330 0.3305
0.9493 0.2500 0.8569
```

Top 12 peaks for 15 to 90 degrees two-theta, in order of rising 2θ:
- d = 3.104 Å, 28.76°, intensity 26
- d = 2.988 Å, 29.90°, intensity 100
- d = 2.895 Å, 30.89°, intensity 23
- d = 2.117 Å, 42.71°, intensity 20
- d = 2.109 Å, 42.88°, intensity 11
- d = 1.769 Å, 51.67°, intensity 20
- d = 1.744 Å, 52.46°, intensity 12
- d = 1.705 Å, 53.78°, intensity 11
- d = 1.689 Å, 54.31°, intensity 24
- d = 1.494 Å, 62.12°, intensity 13
- d = 1.339 Å, 70.33°, intensity 7
- d = 1.334 Å, 70.59°, intensity 10



# HoBiO3
Simulated XRD peak list, Cu Kα (weighted mean of Kα1 and Kα2). Input: a crystal structure in the Materials Project, relaxed with PBE.
Lines closer than 0.1° are merged.

Cell and atoms:
```
HoBiO3
1.0
2.9947 1.7290 5.0583
-2.9947 1.7290 5.0583
0.0000 -3.4580 5.0583
Ho Bi O
2 2 6
direct
0.1418 0.1418 0.1418
0.8582 0.8582 0.8582
0.3566 0.3566 0.3566
0.6434 0.6434 0.6434
0.0122 0.4558 0.7815
0.2185 0.9878 0.5442
0.4558 0.7815 0.0122
0.5442 0.2185 0.9878
0.7815 0.0122 0.4558
0.9878 0.5442 0.2185
```

Top 12 peaks for 15 to 90 degrees two-theta, in order of rising 2θ:
- d = 4.282 Å, 20.74°, intensity 18
- d = 3.062 Å, 29.16°, intensity 91
- d = 2.995 Å, 29.83°, intensity 100
- d = 2.141 Å, 42.21°, intensity 40
- d = 1.932 Å, 47.03°, intensity 30
- d = 1.742 Å, 52.54°, intensity 41
- d = 1.729 Å, 52.96°, intensity 27
- d = 1.497 Å, 61.98°, intensity 14
- d = 1.456 Å, 63.92°, intensity 11
- d = 1.345 Å, 69.94°, intensity 16
- d = 1.200 Å, 79.95°, intensity 11
- d = 1.132 Å, 85.86°, intensity 12



# Ho2Bi2O7
Simulated XRD peak list, Cu Kα (weighted mean of Kα1 and Kα2). Input: a crystal structure in the Materials Project, relaxed with PBE.
Lines closer than 0.1° are merged.

Cell and atoms:
```
Ho2Bi2O7
1.0
0.0000 5.4551 5.4551
5.4551 0.0000 5.4551
5.4551 5.4551 0.0000
Ho Bi O
4 4 14
direct
0.0000 0.0000 0.0000
0.0000 0.0000 0.5000
0.0000 0.5000 0.0000
0.5000 0.0000 0.0000
0.0000 0.5000 0.5000
0.5000 0.0000 0.5000
0.5000 0.5000 0.0000
0.5000 0.5000 0.5000
0.1250 0.1250 0.1250
0.1467 0.1467 0.6033
0.1467 0.6033 0.1467
0.1467 0.6033 0.6033
0.3967 0.3967 0.8533
0.3967 0.8533 0.3967
0.3967 0.8533 0.8533
0.6033 0.1467 0.1467
0.6033 0.1467 0.6033
0.6033 0.6033 0.1467
0.8533 0.3967 0.3967
0.8533 0.3967 0.8533
0.8533 0.8533 0.3967
0.8750 0.8750 0.8750
```

Top 12 peaks for 15 to 90 degrees two-theta, in order of rising 2θ:
- d = 3.290 Å, 27.11°, intensity 2
- d = 3.150 Å, 28.34°, intensity 100
- d = 2.728 Å, 32.84°, intensity 37
- d = 2.100 Å, 43.08°, intensity 1
- d = 1.929 Å, 47.12°, intensity 49
- d = 1.645 Å, 55.90°, intensity 46
- d = 1.575 Å, 58.62°, intensity 11
- d = 1.420 Å, 65.74°, intensity 1
- d = 1.364 Å, 68.84°, intensity 8
- d = 1.251 Å, 76.05°, intensity 19
- d = 1.220 Å, 78.40°, intensity 15
- d = 1.114 Å, 87.63°, intensity 16



# Ho5Bi2Pd
Simulated XRD peak list, Cu Kα (weighted mean of Kα1 and Kα2). Input: a crystal structure in the Materials Project, relaxed with PBE.
Lines closer than 0.1° are merged.

Cell and atoms:
```
Ho5Bi2Pd
1.0
12.2977 0.0000 0.0000
0.0000 9.0495 0.0000
0.0000 0.0000 8.0257
Ho Bi Pd
20 8 4
direct
0.0002 0.2500 0.0409
0.9998 0.7500 0.9591
0.0669 0.0507 0.6787
0.0669 0.4493 0.6787
0.1972 0.7500 0.3694
0.2128 0.2500 0.3339
0.2872 0.7500 0.8339
0.3028 0.2500 0.8694
0.4331 0.5507 0.1787
0.4331 0.9493 0.1787
0.5002 0.2500 0.4591
0.4998 0.7500 0.5409
0.5669 0.0507 0.8213
0.5669 0.4493 0.8213
0.6972 0.7500 0.1306
0.7128 0.2500 0.1661
0.7872 0.7500 0.6661
0.8028 0.2500 0.6306
0.9331 0.5507 0.3213
0.9331 0.9493 0.3213
0.1733 0.5083 0.0679
0.1733 0.9917 0.0679
0.3267 0.0083 0.5679
0.3267 0.4917 0.5679
0.6733 0.5083 0.4321
0.6733 0.9917 0.4321
0.8267 0.0083 0.9321
0.8267 0.4917 0.9321
0.0141 0.7500 0.5875
0.4859 0.2500 0.0875
0.5141 0.7500 0.9125
0.9859 0.2500 0.4125
```

Top 12 peaks for 15 to 90 degrees two-theta, in order of rising 2θ:
- d = 2.917 Å, 30.65°, intensity 100
- d = 2.870 Å, 31.16°, intensity 77
- d = 2.841 Å, 31.49°, intensity 86
- d = 2.824 Å, 31.69°, intensity 16
- d = 2.698 Å, 33.21°, intensity 56
- d = 2.614 Å, 34.30°, intensity 27
- d = 2.543 Å, 35.29°, intensity 27
- d = 2.367 Å, 38.01°, intensity 18
- d = 2.262 Å, 39.85°, intensity 37
- d = 2.155 Å, 41.91°, intensity 17
- d = 2.087 Å, 43.36°, intensity 17
- d = 1.777 Å, 51.43°, intensity 19



# HoBiPt
Simulated XRD peak list, Cu Kα (weighted mean of Kα1 and Kα2). Input: a crystal structure in the Materials Project, relaxed with PBE.
Lines closer than 0.1° are merged.

Cell and atoms:
```
HoBiPt
1.0
0.0000 3.3643 3.3643
3.3643 0.0000 3.3643
3.3643 3.3643 0.0000
Ho Bi Pt
1 1 1
direct
0.0000 0.0000 0.0000
0.5000 0.5000 0.5000
0.2500 0.2500 0.2500
```

Top 12 peaks for 15 to 90 degrees two-theta, in order of rising 2θ:
- d = 3.885 Å, 22.89°, intensity 29
- d = 3.364 Å, 26.49°, intensity 13
- d = 2.379 Å, 37.82°, intensity 100
- d = 2.029 Å, 44.67°, intensity 15
- d = 1.942 Å, 46.77°, intensity 4
- d = 1.682 Å, 54.55°, intensity 18
- d = 1.544 Å, 59.92°, intensity 7
- d = 1.505 Å, 61.65°, intensity 5
- d = 1.373 Å, 68.29°, intensity 36
- d = 1.295 Å, 73.08°, intensity 5
- d = 1.189 Å, 80.80°, intensity 12
- d = 1.137 Å, 85.35°, intensity 5



# Ho5BiPt2
Simulated XRD peak list, Cu Kα (weighted mean of Kα1 and Kα2). Input: a crystal structure in the Materials Project, relaxed with PBE.
Lines closer than 0.1° are merged.

Cell and atoms:
```
Ho5BiPt2
1.0
-3.8791 3.8791 6.9490
3.8791 -3.8791 6.9490
3.8791 3.8791 -6.9490
Ho Bi Pt
10 2 4
direct
0.0000 0.0000 0.0000
0.0219 0.5219 0.8146
0.2073 0.0219 0.5000
0.2927 0.7927 0.8146
0.4781 0.2927 0.5000
0.5000 0.5000 0.0000
0.5219 0.7073 0.5000
0.7073 0.2073 0.1854
0.7927 0.9781 0.5000
0.9781 0.4781 0.1854
0.2500 0.2500 0.0000
0.7500 0.7500 0.0000
0.1376 0.3624 0.5000
0.3624 0.8624 0.2249
0.6376 0.1376 0.7751
0.8624 0.6376 0.5000
```

Top 12 peaks for 15 to 90 degrees two-theta, in order of rising 2θ:
- d = 4.306 Å, 20.63°, intensity 10
- d = 2.935 Å, 30.45°, intensity 19
- d = 2.777 Å, 32.23°, intensity 100
- d = 2.743 Å, 32.65°, intensity 11
- d = 2.588 Å, 34.66°, intensity 26
- d = 2.453 Å, 36.63°, intensity 63
- d = 2.169 Å, 41.63°, intensity 26
- d = 1.736 Å, 52.72°, intensity 21
- d = 1.618 Å, 56.90°, intensity 10
- d = 1.418 Å, 65.88°, intensity 21
- d = 1.376 Å, 68.17°, intensity 17
- d = 1.187 Å, 80.99°, intensity 9



# Ho6Bi2Rh
Simulated XRD peak list, Cu Kα (weighted mean of Kα1 and Kα2). Input: a crystal structure in the Materials Project, relaxed with PBE.
Lines closer than 0.1° are merged.

Cell and atoms:
```
Ho6Bi2Rh
1.0
8.3945 0.0000 0.0000
-4.1972 7.2698 0.0000
0.0000 0.0000 4.1195
Ho Bi Rh
6 2 1
direct
0.0000 0.3949 0.0000
0.0000 0.7636 0.5000
0.2364 0.2364 0.5000
0.3949 0.0000 0.0000
0.6051 0.6051 0.0000
0.7636 0.0000 0.5000
0.3333 0.6667 0.5000
0.6667 0.3333 0.5000
0.0000 0.0000 0.0000
```

Top 12 peaks for 15 to 90 degrees two-theta, in order of rising 2θ:
- d = 2.940 Å, 30.40°, intensity 100
- d = 2.748 Å, 32.59°, intensity 58
- d = 2.726 Å, 32.86°, intensity 72
- d = 2.423 Å, 37.10°, intensity 41
- d = 2.286 Å, 39.42°, intensity 43
- d = 2.060 Å, 43.96°, intensity 24
- d = 1.811 Å, 50.39°, intensity 13
- d = 1.648 Å, 55.78°, intensity 26
- d = 1.586 Å, 58.15°, intensity 12
- d = 1.569 Å, 58.84°, intensity 22
- d = 1.546 Å, 59.83°, intensity 29
- d = 1.480 Å, 62.76°, intensity 19



# HoBiRh
Simulated XRD peak list, Cu Kα (weighted mean of Kα1 and Kα2). Input: a crystal structure in the Materials Project, relaxed with PBE.
Lines closer than 0.1° are merged.

Cell and atoms:
```
HoBiRh
1.0
7.6781 0.0000 0.0000
-3.8390 6.6494 0.0000
0.0000 0.0000 3.9742
Ho Bi Rh
3 3 3
direct
0.0000 0.6005 0.0000
0.3995 0.3995 0.0000
0.6005 0.0000 0.0000
0.0000 0.2650 0.5000
0.2650 0.0000 0.5000
0.7350 0.7350 0.5000
0.0000 0.0000 0.0000
0.3333 0.6667 0.5000
0.6667 0.3333 0.5000
```

Top 12 peaks for 15 to 90 degrees two-theta, in order of rising 2θ:
- d = 2.761 Å, 32.43°, intensity 100
- d = 2.550 Å, 35.19°, intensity 57
- d = 2.513 Å, 35.73°, intensity 45
- d = 2.216 Å, 40.71°, intensity 35
- d = 2.124 Å, 42.56°, intensity 21
- d = 1.987 Å, 45.66°, intensity 21
- d = 1.673 Å, 54.88°, intensity 9
- d = 1.559 Å, 59.28°, intensity 21
- d = 1.480 Å, 62.81°, intensity 19
- d = 1.424 Å, 65.55°, intensity 29
- d = 1.252 Å, 75.99°, intensity 9
- d = 1.144 Å, 84.76°, intensity 9